No. 1
Diffraction record for MgBi2. The powder diffraction line list is simulated, not measured: it uses a structure optimized by DFT (PBE) and Cu Ka.

Most intense lines, 2θ = 15–90°, by angle:
hkl 0 4 1, d = 3.518 Å, 25.32°, rel. 54; hkl 1 3 0, d = 2.976 Å, 30.02°, rel. 50; hkl 1 1 1, d = 2.899 Å, 30.85°, rel. 50; hkl 0 0 2, d = 2.840 Å, 31.51°, rel. 56; hkl 0 6 1, d = 2.644 Å, 33.90°, rel. 70; hkl 1 3 1, d = 2.636 Å, 34.01°, rel. 100; hkl 1 3 2, d = 2.055 Å, 44.07°, rel. 37; hkl 1 7 0, d = 2.053 Å, 44.12°, rel. 27; hkl 1 7 2, d = 1.664 Å, 55.22°, rel. 29; hkl 0 6 3, d = 1.598 Å, 57.68°, rel. 38

Structural model:
abc: 3.432 17.927 5.679
angles: 90.00 90.00 90.00
Space group Cmcm (No. 63)
Inequivalent atoms, fractional coordinates:
Mg1 0.000 0.218 0.250 x4
Bi1 0.000 0.134 0.750 x4
Bi2 0.000 0.441 0.750 x4

No. 2
Diffraction record for MgBi2. The powder diffraction line list is simulated, not measured: it uses a structure optimized by DFT (PBE) and Cu Ka.

Most intense lines, 2θ = 15–90°, by angle:
hkl 2 0 1, d = 4.217 Å, 21.07°, rel. 30; hkl 0 0 2, d = 3.973 Å, 22.38°, rel. 58; hkl 1 1 0, d = 3.271 Å, 27.27°, rel. 50; hkl 4 0 0, d = 3.043 Å, 29.35°, rel. 28; hkl 1 1 1, d = 2.936 Å, 30.45°, rel. 36; hkl 4 0 -2, d = 2.917 Å, 30.65°, rel. 100; hkl 0 0 3, d = 2.650 Å, 33.83°, rel. 40; hkl 1 1 -2, d = 2.641 Å, 33.94°, rel. 93; hkl 3 1 0, d = 2.604 Å, 34.44°, rel. 88; hkl 4 0 1, d = 2.577 Å, 34.82°, rel. 31

Structural model:
abc: 12.869 3.396 8.403
angles: 90.00 108.92 90.00
Space group C2/m (No. 12)
Inequivalent atoms, fractional coordinates:
Mg1 0.029 0.000 0.305 x4
Bi1 0.126 0.500 0.010 x4
Bi2 0.177 0.500 0.617 x4

No. 3
Diffraction record for Mg2Bi. The powder diffraction line list is simulated, not measured: it uses a structure optimized by DFT (PBE) and Cu Ka.

Most intense lines, 2θ = 15–90°, by angle:
hkl 0 2 1, d = 4.561 Å, 19.46°, rel. 18; hkl 0 4 0, d = 3.937 Å, 22.59°, rel. 18; hkl 0 4 1, d = 3.220 Å, 27.71°, rel. 27; hkl 1 1 1, d = 2.966 Å, 30.13°, rel. 100; hkl 0 0 2, d = 2.798 Å, 31.99°, rel. 34; hkl 0 2 2, d = 2.636 Å, 34.01°, rel. 23; hkl 1 3 1, d = 2.619 Å, 34.24°, rel. 81; hkl 0 6 1, d = 2.376 Å, 37.86°, rel. 38; hkl 1 3 2, d = 2.034 Å, 44.54°, rel. 18; hkl 1 3 3, d = 1.578 Å, 58.47°, rel. 17

Structural model:
abc: 3.590 15.747 5.595
angles: 90.00 90.00 90.00
Space group Cmcm (No. 63)
Inequivalent atoms, fractional coordinates:
Mg1 0.000 0.053 0.250 x4
Mg2 0.000 0.391 0.250 x4
Bi1 0.000 0.283 0.750 x4

No. 4
Diffraction record for Mg2Bi. The powder diffraction line list is simulated, not measured: it uses a structure optimized by DFT (PBE) and Cu Ka.

Most intense lines, 2θ = 15–90°, by angle:
hkl 0 0 3, d = 5.360 Å, 16.54°, rel. 56; hkl 1 0 1, d = 4.791 Å, 18.52°, rel. 35; hkl 0 1 2, d = 4.258 Å, 20.86°, rel. 23; hkl 1 1 0, d = 2.898 Å, 30.86°, rel. 50; hkl 0 0 6, d = 2.680 Å, 33.44°, rel. 22; hkl 1 1 3, d = 2.549 Å, 35.21°, rel. 100; hkl 1 1 6, d = 1.968 Å, 46.14°, rel. 34; hkl 3 0 0, d = 1.673 Å, 54.88°, rel. 16; hkl 1 1 9, d = 1.521 Å, 60.92°, rel. 21; hkl 3 0 6, d = 1.419 Å, 65.80°, rel. 19

Structural model:
abc: 5.7957 5.7957 16.0799
angles: 90.00 90.00 120.00
Space group R32 (No. 155, hexagonal axes)
Inequivalent atoms, fractional coordinates:
Mg1 0.0000 0.0000 0.0000 x3
Mg2 0.0000 0.6639 0.5000 x9
Bi1 0.0000 0.0000 0.3356 x6

No. 5
Diffraction record for MgBi. The powder diffraction line list is simulated, not measured: it uses a structure optimized by DFT (PBE) and Cu Ka.

Most intense lines, 2θ = 15–90°, by angle:
hkl 1 1 1, d = 3.532 Å, 25.21°, rel. 100; hkl 2 0 0, d = 3.059 Å, 29.20°, rel. 88; hkl 2 2 0, d = 2.163 Å, 41.76°, rel. 68; hkl 3 1 1, d = 1.845 Å, 49.41°, rel. 52; hkl 2 2 2, d = 1.766 Å, 51.76°, rel. 24; hkl 4 0 0, d = 1.529 Å, 60.54°, rel. 12; hkl 3 3 1, d = 1.404 Å, 66.64°, rel. 22; hkl 4 2 0, d = 1.368 Å, 68.60°, rel. 32; hkl 4 2 2, d = 1.249 Å, 76.24°, rel. 24; hkl 5 1 1, d = 1.177 Å, 81.81°, rel. 17

Structural model:
abc: 6.118 6.118 6.118
angles: 90.00 90.00 90.00
Space group Fm-3m (No. 225)
Inequivalent atoms, fractional coordinates:
Mg1 0.000 0.000 0.000 x4
Bi1 0.000 0.000 0.500 x4

No. 6
Diffraction record for Mg2Bi. The powder diffraction line list is simulated, not measured: it uses a structure optimized by DFT (PBE) and Cu Ka.

Most intense lines, 2θ = 15–90°, by angle:
hkl 2 0 0, d = 5.535 Å, 16.01°, rel. 100; hkl 2 0 -2, d = 3.931 Å, 22.62°, rel. 68; hkl 0 0 2, d = 3.853 Å, 23.08°, rel. 94; hkl 1 1 0, d = 3.250 Å, 27.44°, rel. 77; hkl 4 0 -1, d = 2.988 Å, 29.91°, rel. 32; hkl 4 0 -2, d = 2.803 Å, 31.92°, rel. 36; hkl 1 1 -2, d = 2.631 Å, 34.07°, rel. 94; hkl 3 1 0, d = 2.501 Å, 35.91°, rel. 43; hkl 3 1 -2, d = 2.395 Å, 37.55°, rel. 33; hkl 4 0 1, d = 2.339 Å, 38.49°, rel. 30

Structural model:
abc: 11.952 3.400 8.314
angles: 90.00 112.15 90.00
Space group C2/m (No. 12)
Inequivalent atoms, fractional coordinates:
Mg1 0.151 0.000 0.031 x4
Mg2 0.171 0.000 0.635 x4
Bi1 0.048 0.500 0.286 x4

No. 7
Diffraction record for MgBi. The powder diffraction line list is simulated, not measured: it uses a structure optimized by DFT (PBE) and Cu Ka.

Most intense lines, 2θ = 15–90°, by angle:
hkl 1 0 1, d = 4.081 Å, 21.78°, rel. 100; hkl 0 1 0, d = 3.274 Å, 27.24°, rel. 32; hkl 0 0 2, d = 2.962 Å, 30.17°, rel. 25; hkl 2 0 0, d = 2.815 Å, 31.79°, rel. 36; hkl 1 0 2, d = 2.621 Å, 34.21°, rel. 23; hkl 1 1 1, d = 2.554 Å, 35.14°, rel. 100; hkl 0 1 2, d = 2.197 Å, 41.09°, rel. 15; hkl 2 1 0, d = 2.135 Å, 42.34°, rel. 21; hkl 2 0 2, d = 2.040 Å, 44.40°, rel. 18; hkl 3 1 1, d = 1.570 Å, 58.82°, rel. 23

Structural model:
abc: 5.630 3.274 5.924
angles: 90.00 90.00 90.00
Space group Pmma (No. 51)
Inequivalent atoms, fractional coordinates:
Mg1 0.250 0.000 0.177 x2
Bi1 0.250 0.500 0.699 x2

No. 8
Diffraction record for MgBi2. The powder diffraction line list is simulated, not measured: it uses a structure optimized by DFT (PBE) and Cu Ka.

Most intense lines, 2θ = 15–90°, by angle:
hkl 1 1 0, d = 5.026 Å, 17.65°, rel. 26; hkl 2 0 0, d = 4.224 Å, 21.03°, rel. 63; hkl 3 1 -1, d = 2.913 Å, 30.69°, rel. 41; hkl 0 0 2, d = 2.850 Å, 31.39°, rel. 60; hkl 0 2 1, d = 2.741 Å, 32.67°, rel. 100; hkl 3 1 -2, d = 2.619 Å, 34.23°, rel. 90; hkl 3 1 0, d = 2.568 Å, 34.95°, rel. 52; hkl 2 2 1, d = 2.075 Å, 43.62°, rel. 22; hkl 3 3 -1, d = 1.761 Å, 51.93°, rel. 25; hkl 3 3 -3, d = 1.508 Å, 61.48°, rel. 24

Structural model:
abc: 9.879 6.253 6.666
angles: 90.00 121.23 90.00
Space group C2/c (No. 15)
Inequivalent atoms, fractional coordinates:
Mg1 0.000 0.088 0.250 x4
Bi1 0.189 0.400 0.766 x8

No. 9
Diffraction record for MgBi. The powder diffraction line list is simulated, not measured: it uses a structure optimized by DFT (PBE) and Cu Ka.

Most intense lines, 2θ = 15–90°, by angle:
hkl 1 1 -1, d = 4.095 Å, 21.70°, rel. 89; hkl 1 1 1, d = 3.561 Å, 25.00°, rel. 27; hkl 2 0 1, d = 3.198 Å, 27.90°, rel. 22; hkl 0 2 0, d = 3.173 Å, 28.12°, rel. 27; hkl 3 1 0, d = 2.802 Å, 31.94°, rel. 70; hkl 0 0 2, d = 2.750 Å, 32.56°, rel. 100; hkl 3 1 -2, d = 2.224 Å, 40.57°, rel. 37; hkl 0 2 2, d = 2.078 Å, 43.55°, rel. 16; hkl 3 1 2, d = 1.776 Å, 51.45°, rel. 17; hkl 3 3 -1, d = 1.740 Å, 52.60°, rel. 17

Structural model:
abc: 9.667 6.346 5.676
angles: 90.00 104.27 90.00
Space group C2 (No. 5)
Inequivalent atoms, fractional coordinates:
Mg1 0.000 0.000 0.000 x2
Mg2 0.172 0.264 0.523 x4
Bi1 0.000 0.830 0.500 x2
Bi2 0.174 0.448 0.022 x4

No. 10
Diffraction record for MgBi2. The powder diffraction line list is simulated, not measured: it uses a structure optimized by DFT (PBE) and Cu Ka.

Most intense lines, 2θ = 15–90°, by angle:
hkl 0 2 1, d = 4.824 Å, 18.39°, rel. 25; hkl 0 4 0, d = 4.203 Å, 21.14°, rel. 34; hkl 1 3 0, d = 3.014 Å, 29.64°, rel. 40; hkl 0 0 2, d = 2.945 Å, 30.35°, rel. 44; hkl 1 3 1, d = 2.685 Å, 33.37°, rel. 100; hkl 0 6 1, d = 2.530 Å, 35.48°, rel. 39; hkl 1 3 2, d = 2.107 Å, 42.92°, rel. 17; hkl 1 7 1, d = 1.889 Å, 48.17°, rel. 26; hkl 1 3 3, d = 1.646 Å, 55.86°, rel. 29; hkl 2 6 1, d = 1.461 Å, 63.70°, rel. 19

Structural model:
abc: 3.579 16.813 5.891
angles: 90.00 90.00 90.00
Space group Cmcm (No. 63)
Inequivalent atoms, fractional coordinates:
Mg1 0.000 0.114 0.250 x4
Bi1 0.000 0.232 0.750 x4
Bi2 0.000 0.455 0.250 x4

No. 11
Diffraction record for MgBi2. The powder diffraction line list is simulated, not measured: it uses a structure optimized by DFT (PBE) and Cu Ka.

Most intense lines, 2θ = 15–90°, by angle:
hkl 2 0 0, d = 5.030 Å, 17.63°, rel. 20; hkl 1 1 1, d = 3.833 Å, 23.21°, rel. 52; hkl 0 2 0, d = 3.025 Å, 29.53°, rel. 15; hkl 3 1 0, d = 2.933 Å, 30.48°, rel. 19; hkl 0 0 2, d = 2.845 Å, 31.44°, rel. 41; hkl 0 2 1, d = 2.671 Å, 33.55°, rel. 47; hkl 3 1 1, d = 2.607 Å, 34.40°, rel. 100; hkl 3 3 0, d = 1.728 Å, 52.98°, rel. 19; hkl 3 1 3, d = 1.593 Å, 57.90°, rel. 23; hkl 3 3 2, d = 1.477 Å, 62.92°, rel. 23

Structural model:
abc: 10.060 6.050 5.691
angles: 90.00 90.00 90.00
Space group Cmcm (No. 63)
Inequivalent atoms, fractional coordinates:
Mg1 0.000 0.165 0.250 x4
Bi1 0.161 0.327 0.750 x8

No. 12
Diffraction record for Mg2Bi. The powder diffraction line list is simulated, not measured: it uses a structure optimized by DFT (PBE) and Cu Ka.

Most intense lines, 2θ = 15–90°, by angle:
hkl 0 0 1, d = 5.423 Å, 16.34°, rel. 57; hkl 1 0 0, d = 5.012 Å, 17.70°, rel. 36; hkl 1 0 1, d = 3.681 Å, 24.18°, rel. 36; hkl 1 1 0, d = 2.894 Å, 30.90°, rel. 49; hkl 0 0 2, d = 2.712 Å, 33.03°, rel. 23; hkl 1 1 1, d = 2.553 Å, 35.15°, rel. 100; hkl 1 1 2, d = 1.979 Å, 45.86°, rel. 34; hkl 3 0 0, d = 1.671 Å, 54.96°, rel. 16; hkl 1 1 3, d = 1.533 Å, 60.38°, rel. 21; hkl 3 0 2, d = 1.422 Å, 65.64°, rel. 19

Structural model:
abc: 5.7873 5.7873 5.4232
angles: 90.00 90.00 120.00
Space group P-62m (No. 189)
Inequivalent atoms, fractional coordinates:
Mg1 0.0000 0.0000 0.0000 x1
Mg2 0.0000 0.6698 0.5000 x3
Bi1 0.3333 0.6667 0.0000 x2

No. 13
Diffraction record for MgBi. The powder diffraction line list is simulated, not measured: it uses a structure optimized by DFT (PBE) and Cu Ka.

Most intense lines, 2θ = 15–90°, by angle:
hkl 1 0 2, d = 4.568 Å, 19.43°, rel. 47; hkl 1 0 4, d = 3.395 Å, 26.25°, rel. 70; hkl 0 1 3, d = 2.978 Å, 30.01°, rel. 12; hkl 0 0 6, d = 2.937 Å, 30.43°, rel. 25; hkl 2 0 0, d = 2.671 Å, 33.55°, rel. 30; hkl 1 1 3, d = 2.601 Å, 34.49°, rel. 100; hkl 1 0 6, d = 2.574 Å, 34.86°, rel. 19; hkl 2 1 1, d = 2.098 Å, 43.12°, rel. 18; hkl 2 0 6, d = 1.976 Å, 45.93°, rel. 16; hkl 3 1 3, d = 1.528 Å, 60.59°, rel. 20

Structural model:
abc: 5.342 3.454 17.623
angles: 90.00 90.00 90.00
Space group Amm2 (No. 38)
Inequivalent atoms, fractional coordinates:
Mg1 0.000 0.000 0.000 x2
Mg2 0.000 0.000 0.343 x2
Mg3 0.500 0.000 0.222 x2
Bi1 0.000 0.000 0.690 x2
Bi2 0.500 0.000 0.559 x2
Bi3 0.500 0.000 0.877 x2

No. 14
Diffraction record for Mg2Bi. The powder diffraction line list is simulated, not measured: it uses a structure optimized by DFT (PBE) and Cu Ka.

Most intense lines, 2θ = 15–90°, by angle:
hkl 2 0 -1, d = 5.188 Å, 17.09°, rel. 100; hkl 2 0 1, d = 4.330 Å, 20.51°, rel. 44; hkl 0 0 2, d = 3.856 Å, 23.07°, rel. 30; hkl 1 1 0, d = 3.239 Å, 27.53°, rel. 25; hkl 2 0 2, d = 2.990 Å, 29.89°, rel. 26; hkl 1 1 1, d = 2.934 Å, 30.47°, rel. 62; hkl 4 0 1, d = 2.611 Å, 34.35°, rel. 25; hkl 4 0 -2, d = 2.594 Å, 34.58°, rel. 38; hkl 3 1 0, d = 2.566 Å, 34.97°, rel. 87; hkl 1 1 -2, d = 2.544 Å, 35.27°, rel. 62

Structural model:
abc: 12.070 3.367 7.847
angles: 90.00 100.67 90.00
Space group Cm (No. 8)
Inequivalent atoms, fractional coordinates:
Mg1 0.000 0.000 0.000 x2
Mg2 0.063 0.000 0.618 x2
Mg3 0.178 0.500 0.344 x2
Mg4 0.341 0.000 0.672 x2
Bi1 0.212 0.500 0.928 x2
Bi2 0.414 0.000 0.307 x2

No. 15
Diffraction record for Mg2Bi. The powder diffraction line list is simulated, not measured: it uses a structure optimized by DFT (PBE) and Cu Ka.

Most intense lines, 2θ = 15–90°, by angle:
hkl 1 0 0, d = 5.285 Å, 16.77°, rel. 85; hkl 0 0 4, d = 4.340 Å, 20.46°, rel. 34; hkl 1 0 4, d = 3.354 Å, 26.58°, rel. 40; hkl 0 1 3, d = 2.935 Å, 30.46°, rel. 50; hkl 1 1 1, d = 2.824 Å, 31.68°, rel. 26; hkl 2 0 0, d = 2.643 Å, 33.92°, rel. 33; hkl 1 1 3, d = 2.566 Å, 34.97°, rel. 100; hkl 1 0 6, d = 2.538 Å, 35.37°, rel. 41; hkl 2 1 3, d = 1.964 Å, 46.23°, rel. 33; hkl 1 1 7, d = 1.874 Å, 48.57°, rel. 21

Structural model:
abc: 5.285 3.405 17.360
angles: 90.00 90.00 90.00
Space group Amm2 (No. 38)
Inequivalent atoms, fractional coordinates:
Mg1 0.000 0.000 0.000 x2
Mg2 0.000 0.000 0.325 x2
Mg3 0.000 0.000 0.657 x2
Mg4 0.500 0.000 0.550 x2
Bi1 0.500 0.000 0.203 x2
Bi2 0.500 0.000 0.897 x2